Entry 1:
Theoretical X-ray powder pattern
Compound: SbOs4
Radiation: λ = 1.5418 Å (Cu Kα)
Structure: a cell relaxed with GGA-PBE
Intensities are scaled so that the largest is 100.

```
data_SbOs4
_chemical_formula_sum 'Sb2 Os8'
_symmetry_space_group_name_H-M 'I 4/m'
_symmetry_Int_Tables_number 87
_symmetry_space_group_name_Hall '-I 4'
_cell_length_a 6.262
_cell_length_b 6.262
_cell_length_c 3.947
_cell_angle_alpha 90.00
_cell_angle_beta 90.00
_cell_angle_gamma 90.00
loop_
_atom_site_label
_atom_site_fract_x
_atom_site_fract_y
_atom_site_fract_z
Sb1 0.000 0.000 0.000
Os1 0.100 0.315 0.500
```

Top 10 peaks for 2θ = 10–90°, low angle first:
two_theta  Rel. int.  h k l
20.1  5  1 1 0
39.5  100  2 1 1
45.8  32  1 3 0
46.0  16  0 0 2
58.0  2  3 2 1
66.8  11  4 2 0
66.9  21  1 3 2
80.5  24  5 0 1
80.7  13  2 1 3
84.9  11  4 2 2



Entry 2:
Theoretical X-ray powder pattern
Compound: Ca3Si2Ir2
Radiation: λ = 1.5418 Å (Cu Kα)
Structure: a cell relaxed with GGA-PBE
Intensities are scaled so that the largest is 100.

```
data_Ca3Si2Ir2
_chemical_formula_sum 'Ca12 Si8 Ir8'
_symmetry_space_group_name_H-M 'P b c m'
_symmetry_Int_Tables_number 57
_symmetry_space_group_name_Hall '-P 2c 2b'
_cell_length_a 5.816
_cell_length_b 7.686
_cell_length_c 13.359
_cell_angle_alpha 90.00
_cell_angle_beta 90.00
_cell_angle_gamma 90.00
loop_
_atom_site_label
_atom_site_fract_x
_atom_site_fract_y
_atom_site_fract_z
Ca1 0.132 0.112 0.101
Ca2 0.367 0.725 0.750
Si1 0.166 0.074 0.750
Si2 0.422 0.750 0.000
Ir1 0.362 0.022 0.591
```

Top 10 peaks for 2θ = 10–90°, low angle first:
two_theta  Rel. int.  h k l
13.3  30  0 0 2
15.2  60  1 0 0
20.3  62  1 1 1
23.1  47  0 2 0
26.7  29  0 0 4
27.8  70  1 1 3
33.6  31  2 1 1
35.6  28  0 2 4
38.8  100  2 1 3
51.8  26  2 3 3



Entry 3:
Theoretical X-ray powder pattern
Compound: RbLiGa2Br8
Radiation: λ = 1.5418 Å (Cu Kα)
Structure: a cell relaxed with GGA-PBE
Intensities are scaled so that the largest is 100.

```
data_RbLiGa2Br8
_chemical_formula_sum 'Rb3 Li3 Ga6 Br24'
_symmetry_space_group_name_H-M 'R -3'
_symmetry_Int_Tables_number 148
_symmetry_space_group_name_Hall '-R 3'
_cell_length_a 6.8265
_cell_length_b 6.8265
_cell_length_c 29.9060
_cell_angle_alpha 90.00
_cell_angle_beta 90.00
_cell_angle_gamma 120.00
loop_
_atom_site_label
_atom_site_fract_x
_atom_site_fract_y
_atom_site_fract_z
Rb1 0.0000 0.0000 0.0000
Li1 0.0000 0.0000 0.5000
Ga1 0.0000 0.0000 0.2464
Br1 0.0000 0.0000 0.3255
Br2 0.0000 0.3317 0.2229
```

Top 10 peaks for 2θ = 10–90°, low angle first:
two_theta  Rel. int.  h k l
16.1  16  0 1 2
19.1  16  1 0 4
26.8  38  0 0 9
27.6  100  1 1 3
31.8  49  2 -1 6
45.0  38  1 1 12
46.1  36  3 0 0
54.1  31  3 0 9
54.6  14  4 -2 3
84.6  12  4 1 12



Entry 4:
Theoretical X-ray powder pattern
Compound: Sm6Ga2Bi
Radiation: λ = 1.5418 Å (Cu Kα)
Structure: a cell relaxed with GGA-PBE
Intensities are scaled so that the largest is 100.

```
data_Sm6Ga2Bi
_chemical_formula_sum 'Sm24 Ga8 Bi4'
_symmetry_space_group_name_H-M 'I m m m'
_symmetry_Int_Tables_number 71
_symmetry_space_group_name_Hall '-I 2 2'
_cell_length_a 9.746
_cell_length_b 10.046
_cell_length_c 10.923
_cell_angle_alpha 90.00
_cell_angle_beta 90.00
_cell_angle_gamma 90.00
loop_
_atom_site_label
_atom_site_fract_x
_atom_site_fract_y
_atom_site_fract_z
Sm1 0.000 0.208 0.233
Sm2 0.203 0.500 0.178
Sm3 0.218 0.313 0.500
Ga1 0.000 0.368 0.000
Ga2 0.000 0.500 0.382
Bi1 0.000 0.000 0.000
Bi2 0.000 0.000 0.500
```

Top 10 peaks for 2θ = 10–90°, low angle first:
two_theta  Rel. int.  h k l
28.9  18  3 1 0
30.3  100  2 2 2
32.0  30  2 1 3
32.7  42  1 3 2
32.8  16  0 0 4
33.5  25  2 3 1
36.9  22  4 0 0
50.2  12  4 0 4
53.6  14  3 5 0
57.2  20  5 3 2



Entry 5:
Theoretical X-ray powder pattern
Compound: Y3AlCo
Radiation: λ = 1.5418 Å (Cu Kα)
Structure: a cell relaxed with GGA-PBE
Intensities are scaled so that the largest is 100.

```
data_Y3AlCo
_chemical_formula_sum 'Y12 Al4 Co4'
_symmetry_space_group_name_H-M 'C 1 2/m 1'
_symmetry_Int_Tables_number 12
_symmetry_space_group_name_Hall '-C 2y'
_cell_length_a 10.004
_cell_length_b 6.320
_cell_length_c 8.625
_cell_angle_alpha 90.00
_cell_angle_beta 115.90
_cell_angle_gamma 90.00
loop_
_atom_site_label
_atom_site_fract_x
_atom_site_fract_y
_atom_site_fract_z
Y1 0.019 0.000 0.225
Y2 0.186 0.500 0.866
Y3 0.201 0.500 0.329
Al1 0.000 0.293 0.500
Co1 0.000 0.315 0.000
```

Top 10 peaks for 2θ = 10–90°, low angle first:
two_theta  Rel. int.  h k l
11.4  37  0 0 1
28.2  44  0 2 0
32.0  79  3 1 -2
32.1  96  1 1 2
33.1  60  3 1 0
36.6  100  0 2 2
41.9  31  2 0 -4
42.8  20  2 2 -3
53.1  34  3 3 0
63.4  21  4 2 2



Entry 6:
Theoretical X-ray powder pattern
Compound: La2SbS5Br
Radiation: λ = 1.5418 Å (Cu Kα)
Structure: a cell relaxed with GGA-PBE
Intensities are scaled so that the largest is 100.

```
data_La2SbS5Br
_chemical_formula_sum 'La8 Sb4 S20 Br4'
_symmetry_space_group_name_H-M 'P n m a'
_symmetry_Int_Tables_number 62
_symmetry_space_group_name_Hall '-P 2ac 2n'
_cell_length_a 9.012
_cell_length_b 5.487
_cell_length_c 18.077
_cell_angle_alpha 90.00
_cell_angle_beta 90.00
_cell_angle_gamma 90.00
loop_
_atom_site_label
_atom_site_fract_x
_atom_site_fract_y
_atom_site_fract_z
La1 0.159 0.250 0.200
La2 0.225 0.250 0.469
Sb1 0.016 0.250 0.668
S1 0.015 0.750 0.657
S2 0.074 0.750 0.459
S3 0.152 0.560 0.826
S4 0.217 0.750 0.141
Br1 0.098 0.250 0.028
```

Top 10 peaks for 2θ = 10–90°, low angle first:
two_theta  Rel. int.  h k l
21.4  85  1 1 2
22.0  44  1 0 4
25.6  46  2 1 0
26.1  43  2 1 1
29.6  100  0 0 6
32.6  89  0 2 0
33.3  81  3 0 3
34.4  61  3 1 1
39.7  54  1 2 4
43.7  54  2 1 7



Question: What is the formula in the fourth record?
Answer: Sm6Ga2Bi